# 1
Structure and calculated XRD peak list of RbBiF4 (a structure optimized by DFT (GGA-PBE); λ = 1.5418 Å (Cu Kα)).
Peak positions follow from Bragg's law for the DFT cell and can differ from measured ones.

Principal peaks in the range 10 to 80 degrees two-theta, by angle:
2theta	I_rel	index
13.39	429	1 0 0
20.54	269	0 2 0
24.32	1000	1 0 2
24.59	806	1 2 0
26.96	343	2 0 0
28.97	471	0 2 2
39.99	438	2 2 2
46.06	218	3 0 2
48.48	286	1 2 4
63.90	216	4 2 2

Crystal structure
```
data_RbBiF4
_space_group_name_H-M_alt 'P b c m'
_space_group_IT_number 57
_cell_length_a 6.6139
_cell_length_b 8.6494
_cell_length_c 8.7866
_cell_angle_alpha 90.00
_cell_angle_beta 90.00
_cell_angle_gamma 90.00
loop_
_space_group_symop_operation_xyz
'x,y,z'
'-x,-y,-z'
'-x,-y,z+1/2'
'x,y,-z+1/2'
'x,-y+1/2,-z'
'-x,y+1/2,z'
'-x,y+1/2,-z+1/2'
'x,-y+1/2,z+1/2'
loop_
_atom_site_label
_atom_site_fract_x
_atom_site_fract_y
_atom_site_fract_z
Rb1 0.0031 0.1824 0.2500
Bi1 0.5000 0.0000 0.0000
F1 0.1939 0.0779 0.5711
F2 0.3691 0.7500 0.0000
F3 0.3939 0.0276 0.2500
```


# 2
Structure and calculated XRD peak list of Cs3BiCl6 (a structure optimized by DFT (GGA-PBE); λ = 1.5418 Å (Cu Kα)).
Peak positions follow from Bragg's law for the DFT cell and can differ from measured ones.

Principal peaks in the range 10 to 80 degrees two-theta, by angle:
2theta	I_rel	index
13.07	264	1 1 1
20.96	353	0 2 0
21.55	762	5 1 1
21.93	381	6 0 -2
22.21	1000	1 1 -3
29.00	201	6 2 -1
30.51	735	6 2 -2
31.76	259	4 0 4
39.02	209	7 1 -5
45.31	219	2 2 -6

Crystal structure
```
data_Cs3BiCl6
_space_group_name_H-M_alt 'C 1 2/c 1'
_space_group_IT_number 15
_cell_length_a 27.2658
_cell_length_b 8.4750
_cell_length_c 13.6221
_cell_angle_alpha 90.00
_cell_angle_beta 99.75
_cell_angle_gamma 90.00
loop_
_space_group_symop_operation_xyz
'x,y,z'
'-x,-y,-z'
'-x,y,-z+1/2'
'x,-y,z+1/2'
'x+1/2,y+1/2,z'
'-x+1/2,-y+1/2,-z'
'-x+1/2,y+1/2,-z+1/2'
'x+1/2,-y+1/2,z+1/2'
loop_
_atom_site_label
_atom_site_fract_x
_atom_site_fract_y
_atom_site_fract_z
Cs1 0.0532 0.2264 0.4426
Cs2 0.1528 0.3169 0.1460
Cs3 0.1631 0.1885 0.8051
Bi1 0.0000 0.2079 0.7500
Bi2 0.2500 0.2500 0.5000
Cl1 0.0567 0.2068 0.9351
Cl2 0.0592 0.0328 0.1989
Cl3 0.0595 0.4262 0.6806
Cl4 0.1712 0.4418 0.4239
Cl5 0.1798 0.0353 0.5346
Cl6 0.2500 0.1168 0.3155
```


# 3
Structure and calculated XRD peak list of Mg5Bi (a structure optimized by DFT (GGA-PBE); λ = 1.5418 Å (Cu Kα)).
Peak positions follow from Bragg's law for the DFT cell and can differ from measured ones.

Principal peaks in the range 10 to 80 degrees two-theta, by angle:
2theta	I_rel	index
10.45	1000	0 0 2
16.69	405	1 0 0
19.73	558	1 0 2
26.94	311	1 0 4
27.68	256	0 1 1
31.53	308	0 1 3
32.50	347	1 1 1
33.75	265	2 0 0
35.88	718	1 1 3
36.05	375	1 0 6

Crystal structure
```
data_Mg5Bi
_space_group_name_H-M_alt 'A m m 2'
_space_group_IT_number 38
_cell_length_a 5.3122
_cell_length_b 3.2827
_cell_length_c 16.9235
_cell_angle_alpha 90.00
_cell_angle_beta 90.00
_cell_angle_gamma 90.00
loop_
_space_group_symop_operation_xyz
'x,y,z'
'-x,-y,z'
'-x,y,z'
'x,-y,z'
'x,y+1/2,z+1/2'
'-x,-y+1/2,z+1/2'
'-x,y+1/2,z+1/2'
'x,-y+1/2,z+1/2'
loop_
_atom_site_label
_atom_site_fract_x
_atom_site_fract_y
_atom_site_fract_z
Mg1 0.0000 0.0000 0.0000
Mg2 0.0000 0.0000 0.3203
Mg3 0.0000 0.0000 0.6597
Mg4 0.5000 0.0000 0.2099
Mg5 0.5000 0.0000 0.5561
Bi1 0.5000 0.0000 0.8864
```


# 4
Structure and calculated XRD peak list of MgFeRh14 (a structure optimized by DFT (GGA-PBE); λ = 1.5418 Å (Cu Kα)).
Peak positions follow from Bragg's law for the DFT cell and can differ from measured ones.

Principal peaks in the range 10 to 80 degrees two-theta, by angle:
2theta	I_rel	index
11.48	40	0 0 1
23.14	22	1 1 0
25.94	22	1 1 1
32.96	18	1 1 2
40.66	1000	2 0 2
47.18	162	0 0 4
47.37	319	2 2 0
48.86	10	2 0 3
69.09	200	2 2 4
69.24	100	4 0 0

Crystal structure
```
data_MgFeRh14
_space_group_name_H-M_alt 'P 4/m m m'
_space_group_IT_number 123
_space_group_name_Hall '-P 4 2'
_cell_length_a 5.4276
_cell_length_b 5.4276
_cell_length_c 7.7058
_cell_angle_alpha 90.00
_cell_angle_beta 90.00
_cell_angle_gamma 90.00
loop_
_atom_site_label
_atom_site_fract_x
_atom_site_fract_y
_atom_site_fract_z
Mg1 0.0000 0.0000 0.0000
Fe1 0.5000 0.5000 0.0000
Rh1 0.0000 0.0000 0.5000
Rh2 0.0000 0.5000 0.0000
Rh3 0.0000 0.5000 0.5000
Rh4 0.2524 0.2524 0.2515
Rh5 0.5000 0.5000 0.5000
```


# 5
Structure and calculated XRD peak list of CsInNiAs (a structure optimized by DFT (GGA-PBE); λ = 1.5418 Å (Cu Kα)).
Peak positions follow from Bragg's law for the DFT cell and can differ from measured ones.

Principal peaks in the range 10 to 80 degrees two-theta, by angle:
2theta	I_rel	index
12.58	354	0 0 2
22.16	332	1 0 1
25.31	515	0 0 4
28.59	818	1 0 3
30.88	300	1 1 1
32.84	1000	1 1 2
43.25	494	2 0 0
49.59	563	1 1 6
50.77	295	2 0 4
52.66	291	2 1 3

Crystal structure
```
data_CsInNiAs
_space_group_name_H-M_alt 'P 4/n m m'
_space_group_IT_number 129
_cell_length_a 4.1842
_cell_length_b 4.1842
_cell_length_c 14.0751
_cell_angle_alpha 90.00
_cell_angle_beta 90.00
_cell_angle_gamma 90.00
loop_
_space_group_symop_operation_xyz
'x,y,z'
'-x,-y,-z'
'-y+1/2,x,z'
'y+1/2,-x,-z'
'-x+1/2,-y+1/2,z'
'x+1/2,y+1/2,-z'
'y,-x+1/2,z'
'-y,x+1/2,-z'
'x+1/2,-y,-z'
'-x+1/2,y,z'
'-y,-x,-z'
'y,x,z'
'-x,y+1/2,-z'
'x,-y+1/2,z'
'y+1/2,x+1/2,-z'
'-y+1/2,-x+1/2,z'
loop_
_atom_site_label
_atom_site_fract_x
_atom_site_fract_y
_atom_site_fract_z
Cs1 0.2500 0.2500 0.2327
In1 0.2500 0.7500 0.5000
Ni1 0.2500 0.7500 0.0000
As1 0.2500 0.2500 0.9225
```